Calculated powder X-ray diffraction pattern of MgFe6O6F6 for Cu Kα, 1.54184 Å, from a cell relaxed with PBE+U.
Lines closer than 0.1° are merged.

The 10 most intense peaks (5° ≤ 2θ ≤ 70°), low angle first:
d (Å)	I (rel.)	index
3.543	100	0 0 3
3.460	94	0 2 1
2.639	63	1 1 -1
2.617	27	1 1 2
2.599	28	-1 1 2
2.529	26	0 2 -2
2.325	23	1 0 -3
1.801	35	1 1 5
1.770	24	-1 3 3
1.547	29	2 0 0

Structure:
```
data_MgFe6O6F6
_chemical_formula_sum 'Mg1 Fe6 O6 F6'
_cell_length_a 3.0935
_cell_length_b 6.9257
_cell_length_c 11.0452
_cell_angle_alpha 74.17
_cell_angle_beta 89.65
_cell_angle_gamma 89.66
_symmetry_space_group_name_H-M 'P 1'
_symmetry_Int_Tables_number 1
_symmetry_space_group_name_Hall 'P 1'
loop_
_atom_site_label
_atom_site_type_symbol
_atom_site_fract_x
_atom_site_fract_y
_atom_site_fract_z
_atom_site_occupancy
Mg1 Mg 0.0000 0.0000 0.0000 1
Fe1 Fe 0.9997 0.4278 0.4979 1
Fe2 Fe 0.0087 0.1675 0.2259 1
Fe3 Fe 0.4986 0.3049 0.7906 1
Fe4 Fe 0.5012 0.6101 0.1521 1
Fe5 Fe 0.5015 0.9685 0.4954 1
Fe6 Fe 0.9949 0.7919 0.8342 1
O1 O 0.0002 0.3484 0.6822 1
O2 O 0.0021 0.6997 0.0401 1
O3 O 0.0037 0.9715 0.3915 1
O4 O 0.5014 0.0087 0.8660 1
O5 O 0.5018 0.2628 0.4798 1
O6 O 0.5078 0.3374 0.1714 1
F1 F 0.0007 0.5904 0.2930 1
F2 F 0.4951 0.6001 0.8079 1
F3 F 0.4960 0.9630 0.1304 1
F4 F 0.5002 0.6327 0.5061 1
F5 F 0.9973 0.2901 0.9303 1
F6 F 0.9969 0.9059 0.6339 1
```